Structure and computed powder diffractogram of Li3Co2O5 (a GGA+U-relaxed structure; Cu Kα, 1.54184 Å).
Neutral-atom scattering factors, no anomalous dispersion.

Main lines, in order of falling intensity (2θ = 15–90°):
d 4.729, I 100, (0 1 0)
d 2.029, I 28, (1 1 -2)
d 2.021, I 26, (1 2 3)
d 2.013, I 26, (2 -1 1)
d 2.420, I 24, (2 0 1)
d 1.436, I 14, (1 -2 3)
d 2.429, I 12, (1 0 -2)
d 2.321, I 7, (1 0 3)
d 1.444, I 7, (2 3 1)
d 1.422, I 7, (3 0 -1)

Atomic structure:
```
Li3Co2O5
1.0
4.918 0.000 0.000
0.854 4.935 0.000
2.434 2.030 6.804
Li Co O
6 4 10
Direct
0.000 0.000 0.000 Li
0.098 0.510 0.297 Li
0.288 0.495 0.900 Li
0.500 0.500 0.500 Li
0.712 0.505 0.100 Li
0.902 0.490 0.703 Li
0.199 0.999 0.601 Co
0.397 0.000 0.197 Co
0.603 0.000 0.803 Co
0.801 0.001 0.399 Co
0.060 0.226 0.169 O
0.148 0.783 0.441 O
0.272 0.223 0.743 O
0.373 0.777 0.048 O
0.451 0.214 0.354 O
0.549 0.786 0.646 O
0.627 0.223 0.952 O
0.728 0.777 0.257 O
0.852 0.217 0.559 O
0.940 0.774 0.831 O
```